No. 1
Structure and calculated X-ray diffraction stick pattern of K3Sn7Pd2 (the PBE geometry in Alexandria; Cu Ka).
Intensities are scaled so that the largest is 100.

Cell and atoms:
a = 5.0669 Å, b = 30.7344 Å, c = 5.0185 Å
α = 90.00°, β = 90.00°, γ = 90.00°
Space group Cmmm (No. 65)
Asymmetric unit:
K  0.0000  0.0000  0.0000 x2
K  0.0000  0.2060  0.0000 x4
Sn  0.0000  0.1146  0.5000 x4
Sn  0.0000  0.3221  0.5000 x4
Sn  0.0000  0.3852  0.0000 x4
Sn  0.0000  0.5000  0.5000 x2
Pd  0.0000  0.4180  0.5000 x4

Top 10 peaks for 10 to 80 degrees two-theta, low angle first:
two_theta  I/Imax  h k l
11.5  82  0 4 0
17.7  80  0 0 1
28.9  100  1 5 1
29.1  24  0 10 0
35.4  45  2 0 0
35.8  44  0 0 2
36.4  27  1 9 1
41.0  33  1 11 1
46.1  31  1 13 1
51.2  31  2 0 2

=====

No. 2
Structure and calculated X-ray diffraction stick pattern of Pr10Se19 (the PBE geometry in Alexandria; Cu Ka).
Intensities are scaled so that the largest is 100.

Cell and atoms:
a = 9.3955 Å, b = 9.3955 Å, c = 17.1741 Å
α = 90.00°, β = 90.00°, γ = 90.00°
Space group P4_2/n (No. 86, origin choice 2)
Asymmetric unit:
Pr  0.0434  0.3470  0.1197 x8
Pr  0.0535  0.3520  0.6057 x8
Pr  0.2500  0.7500  0.1166 x4
Se  0.0295  0.8265  0.2498 x8
Se  0.0489  0.3476  0.4287 x8
Se  0.0521  0.3508  0.9368 x8
Se  0.0663  0.8827  0.7507 x8
Se  0.2500  0.2500  0.2500 x2
Se  0.2500  0.7500  0.4356 x4

Top 10 peaks for 10 to 80 degrees two-theta, low angle first:
two_theta  I/Imax  h k l
23.6  47  1 2 2
30.1  49  3 1 0
31.2  34  0 0 6
31.9  66  3 1 2
36.8  100  3 1 4
38.0  62  1 2 6
43.1  58  2 4 0
54.2  24  2 4 6
58.8  34  5 0 6
62.5  23  6 2 0

=====

No. 3
Structure and calculated X-ray diffraction stick pattern of HoCd11Cu (the PBE geometry in Alexandria; Cu Ka).
Intensities are scaled so that the largest is 100.

Cell and atoms:
a = 5.8155 Å, b = 14.0451 Å, c = 7.5339 Å
α = 90.00°, β = 112.26°, γ = 90.00°
Space group C2/m (No. 12)
Asymmetric unit:
Ho  0.0000  0.0000  0.0000 x2
Cd  0.0000  0.0000  0.5000 x2
Cd  0.0926  0.3966  0.2169 x8
Cd  0.1869  0.1701  0.3557 x8
Cd  0.2500  0.2500  0.0000 x4
Cu  0.0000  0.5000  0.5000 x2

Top 10 peaks for 10 to 80 degrees two-theta, low angle first:
two_theta  I/Imax  h k l
30.7  25  2 0 -1
31.1  28  1 3 1
31.2  36  1 3 -2
35.7  49  2 2 0
35.9  38  2 2 -2
36.1  61  1 5 0
36.2  42  1 1 2
36.3  100  0 4 2
40.3  51  2 4 -1
40.6  31  2 0 -3

=====

No. 4
Structure and calculated X-ray diffraction stick pattern of CuSiSe (the PBE geometry in Alexandria; Cu Ka).
Intensities are scaled so that the largest is 100.

Cell and atoms:
a = 2.6346 Å, b = 3.8731 Å, c = 11.2375 Å
α = 90.00°, β = 90.00°, γ = 90.00°
Space group Imm2 (No. 44)
Asymmetric unit:
Cu  0.0000  0.0000  0.0000 x2
Si  0.0000  0.0000  0.5532 x2
Se  0.0000  0.0000  0.7626 x2

Top 10 peaks for 10 to 80 degrees two-theta, low angle first:
two_theta  I/Imax  h k l
24.3  100  0 1 1
31.9  63  0 0 4
35.0  39  1 0 1
41.5  73  1 1 0
46.7  34  0 1 5
46.9  25  0 2 0
53.2  56  1 1 4
53.6  22  1 0 5
57.8  22  0 2 4
73.9  21  1 2 5